Structure and simulated powder diffractogram of Mn2V3SbP6O24 (DFT lattice parameters and positions (GGA+U); Cu Kα (λ = 1.5418 Å)).
Lines closer than 0.1° are merged.

Main lines, in order of rising 2θ (2θ = 10–90°):
(1 1 0), 2θ 20.41, intensity 100; (1 1 3), 2θ 23.96, intensity 91; (2 -1 6), 2θ 32.45, intensity 71; (3 0 0), 2θ 35.76, intensity 40; (1 2 8), 2θ 46.56, intensity 27; (2 2 6), 2θ 49.06, intensity 27

Atomic structure:
```
data_Mn2V3SbP6O24
_chemical_formula_sum 'Mn6 V9 Sb3 P18 O72'
_space_group_name_H-M_alt 'R 3'
_space_group_IT_number 146
_space_group_name_Hall 'R 3'
_cell_length_a 8.6976
_cell_length_b 8.6976
_cell_length_c 21.4217
_cell_angle_alpha 90.00
_cell_angle_beta 90.00
_cell_angle_gamma 120.00
loop_
_atom_site_label
_atom_site_type_symbol
_atom_site_fract_x
_atom_site_fract_y
_atom_site_fract_z
Mn1 Mn 0.0000 0.0000 0.0000
Mn2 Mn 0.0000 0.0000 0.4939
V1 V 0.0000 0.0000 0.1387
V2 V 0.0000 0.0000 0.3503
V3 V 0.0000 0.0000 0.6372
Sb1 Sb 0.0000 0.0000 0.8503
P1 P 0.0028 0.7105 0.2435
P2 P 0.0398 0.3716 0.4096
O1 O 0.0000 0.1927 0.6859
O2 O 0.0200 0.8388 0.9148
O3 O 0.0210 0.1855 0.4161
O4 O 0.1361 0.6674 0.8509
O5 O 0.1374 0.4665 0.4723
O6 O 0.1384 0.6736 0.9705
O7 O 0.1639 0.6806 0.2392
O8 O 0.1669 0.4801 0.7405
```

=====

Structure and simulated powder diffractogram of Mn3VSb2P6O24 (DFT lattice parameters and positions (GGA+U); Cu Kα (λ = 1.5418 Å)).
Lines closer than 0.1° are merged.

Main lines, in order of rising 2θ (2θ = 10–90°):
(1 1 0), 2θ 20.30, intensity 100; (2 -1 3), 2θ 23.67, intensity 69; (2 0 2), 2θ 24.85, intensity 28; (2 -1 6), 2θ 31.83, intensity 94; (3 0 0), 2θ 35.54, intensity 41; (4 -2 6), 2θ 48.44, intensity 35

Atomic structure:
```
data_Mn3VSb2P6O24
_chemical_formula_sum 'Mn9 V3 Sb6 P18 O72'
_space_group_name_H-M_alt 'R 3'
_space_group_IT_number 146
_space_group_name_Hall 'R 3'
_cell_length_a 8.7512
_cell_length_b 8.7512
_cell_length_c 22.0154
_cell_angle_alpha 90.00
_cell_angle_beta 90.00
_cell_angle_gamma 120.00
loop_
_atom_site_label
_atom_site_type_symbol
_atom_site_fract_x
_atom_site_fract_y
_atom_site_fract_z
Mn1 Mn 0.0000 0.0000 0.0000
Mn2 Mn 0.0000 0.0000 0.1948
Mn3 Mn 0.0000 0.0000 0.4924
V1 V 0.0000 0.0000 0.7001
Sb1 Sb 0.0000 0.0000 0.3449
Sb2 Sb 0.0000 0.0000 0.8587
P1 P 0.0007 0.7135 0.5957
P2 P 0.0357 0.3673 0.7612
O1 O 0.0007 0.8019 0.5365
O2 O 0.0099 0.1761 0.7577
O3 O 0.0124 0.8193 0.6532
O4 O 0.0163 0.2126 0.0363
O5 O 0.0242 0.8309 0.2692
O6 O 0.1309 0.4470 0.8201
O7 O 0.1637 0.4894 0.0932
O8 O 0.1704 0.6902 0.5930
```

=====

Structure and simulated powder diffractogram of Mn3SnP4O16 (DFT lattice parameters and positions (GGA+U); Cu Kα (λ = 1.5418 Å)).
Lines closer than 0.1° are merged.

Main lines, in order of rising 2θ (2θ = 10–90°):
(0 0 2), 2θ 17.68, intensity 84; (1 0 1), 2θ 19.93, intensity 50; (1 1 -1), 2θ 24.63, intensity 50; (1 1 1), 2θ 24.78, intensity 45; (0 2 0), 2θ 29.37, intensity 100; (1 1 3), 2θ 35.66, intensity 53

Atomic structure:
```
data_Mn3SnP4O16
_chemical_formula_sum 'Mn3 Sn1 P4 O16'
_space_group_name_H-M_alt 'P 1 m 1'
_space_group_IT_number 6
_cell_length_a 4.9984
_cell_length_b 6.0792
_cell_length_c 10.0393
_cell_angle_alpha 90.00
_cell_angle_beta 90.65
_cell_angle_gamma 90.00
loop_
_space_group_symop_operation_xyz
'x,y,z'
'x,-y,z'
loop_
_atom_site_label
_atom_site_type_symbol
_atom_site_fract_x
_atom_site_fract_y
_atom_site_fract_z
Mn1 Mn 0.0000 0.0000 0.0000
Mn2 Mn 0.1339 0.5000 0.4356
Mn3 Mn 0.6249 0.0000 0.5090
Sn1 Sn 0.5028 0.5000 0.9389
P1 P 0.1369 0.0000 0.3274
P2 P 0.4669 0.0000 0.8100
P3 P 0.6458 0.5000 0.6167
P4 P 0.9418 0.5000 0.1251
O1 O 0.1901 0.0000 0.1791
O2 O 0.2432 0.5000 0.0937
O3 O 0.2785 0.1999 0.3985
O4 O 0.3225 0.2009 0.8824
O5 O 0.3385 0.5000 0.5996
O6 O 0.3917 0.0000 0.6611
O7 O 0.7150 0.5000 0.7686
O8 O 0.7656 0.0000 0.8317
O9 O 0.7829 0.2998 0.5494
O10 O 0.7880 0.3045 0.0539
O11 O 0.8306 0.0000 0.3505
O12 O 0.9078 0.5000 0.2758
```